The following is a computed X-ray diffraction stick pattern of Cs2ZnGaBi2. It was derived from a cell relaxed with PBE, using Cu Kα (weighted mean of Kα1 and Kα2).
Intensities are scaled so that the largest is 100.

Largest 10 diffraction maxima, most intense first, 2θ from 10° to 80°:
2θ/deg  I/Imax
26.68  100
31.94  55
24.46  55
34.87  54
44.44  51
10.07  35
44.87  31
58.05  29
50.14  19
60.69  17

Crystal structure
```
data_Cs2ZnGaBi2
_chemical_formula_sum 'Cs8 Zn4 Ga4 Bi8'
_cell_length_a 7.2703
_cell_length_b 17.5719
_cell_length_c 7.2838
_cell_angle_alpha 90.00
_cell_angle_beta 90.00
_cell_angle_gamma 90.00
_symmetry_space_group_name_H-M 'I b a m'
_symmetry_Int_Tables_number 72
_symmetry_space_group_name_Hall '-I 2 2c'
loop_
_atom_site_label
_atom_site_fract_x
_atom_site_fract_y
_atom_site_fract_z
Cs1 0.2483 0.1631 0.0000
Zn1 0.0000 0.5000 0.2500
Ga1 0.0000 0.0000 0.2500
Bi1 0.2436 0.4144 0.0000
```